For MgV8Zn4O16, a crystal structure in the Materials Project, relaxed with GGA+U gives the calculated XRD peak list in this record (λ = 1.5418 Å (Cu Kα)).
Peak positions follow from Bragg's law for the DFT cell and can differ from measured ones.

Top 10 peaks for 15° ≤ 2θ ≤ 90°, most intense first:
hkl	Position (°2θ)	Rel. int.
0 3 2	30.91	100
1 0 -3	39.36	33
1 1 -3	40.30	25
0 4 2	38.26	23
1 3 -5	60.47	20
1 0 1	31.20	18
1 1 3	42.21	17
1 2 3	44.80	16
0 0 4	36.28	16
0 6 0	51.26	15

Structure:
```
MgV8Zn4O16
1.0
3.0407 0.0000 0.0000
0.0000 10.6931 0.0000
-0.4590 0.0000 9.9036
Mg V Zn O
1 8 4 16
direct
0.0000 0.0000 0.0000
0.0062 0.1856 0.4268
0.0062 0.8144 0.4268
0.0284 0.3307 0.1602
0.0284 0.6693 0.1602
0.4915 0.2202 0.9111
0.4915 0.7798 0.9111
0.4989 0.3341 0.6490
0.4989 0.6659 0.6490
0.1045 0.5000 0.8963
0.5031 0.0000 0.6656
0.5051 0.0000 0.2342
0.6698 0.5000 0.3944
0.0072 0.1800 0.0329
0.0072 0.8200 0.0329
0.0240 0.0000 0.3743
0.1395 0.5000 0.2571
0.4819 0.0000 0.8610
0.4860 0.3777 0.0241
0.4860 0.6223 0.0241
0.5171 0.1558 0.5636
0.5171 0.8442 0.5636
0.5549 0.5000 0.7476
0.5634 0.2506 0.2825
0.5634 0.7494 0.2825
0.9913 0.2717 0.7808
0.9905 0.3654 0.5162
0.9905 0.6346 0.5162
0.9913 0.7283 0.7808
```